(1)
Calculated X-ray diffraction stick pattern
Compound: La3Tb6DyY2
Radiation: a wavelength of 1.5418 Å
Structure: the GGA-PBE geometry in Alexandria
No peak broadening, texture or thermal motion is included.

Structure:
Unit cell a=6.2520 b=10.8349 c=11.9461 alpha=90.00 beta=100.06 gamma=90.00
Space group C2/m (No. 12)
Asymmetric unit:
La  0.0000  0.0000  0.0000 x2
La  0.0000  0.3330  0.0000 x4
Tb  0.2475  0.3337  0.7447 x8
Tb  0.2486  0.0000  0.7449 x4
Dy  0.0000  0.5000  0.5000 x2
Y  0.0000  0.1667  0.5000 x4

Most intense lines, 10 to 90 degrees two-theta, in order of rising 2θ:
2theta	I/Imax	index
30.3	100	1 3 1
30.4	33	0 0 4
35.2	67	2 0 2
50.6	24	0 6 0
50.6	23	1 3 5
60.1	42	4 0 0
60.2	14	2 0 6
63.1	12	2 6 2

=====

(2)
Calculated X-ray diffraction stick pattern
Compound: La3DyTc
Radiation: a wavelength of 1.5418 Å
Structure: the GGA-PBE geometry in Alexandria
No peak broadening, texture or thermal motion is included.

Structure:
Unit cell a=12.4387 b=3.9739 c=13.7095 alpha=90.00 beta=112.89 gamma=90.00
Space group Cm (No. 8)
Asymmetric unit:
La  0.0000  0.0000  0.0000 x2
La  0.0039  0.0000  0.6263 x2
La  0.1825  0.5000  0.8602 x2
La  0.2810  0.5000  0.1369 x2
La  0.3279  0.0000  0.3841 x2
La  0.3480  0.0000  0.7488 x2
Dy  0.0376  0.5000  0.2487 x2
Dy  0.1614  0.5000  0.5108 x2
Tc  0.3478  0.0000  0.0142 x2
Tc  0.4909  0.5000  0.3888 x2

Most intense lines, 10 to 90 degrees two-theta, in order of rising 2θ:
2theta	I/Imax	index
29.2	42	4 0 -1
29.8	98	1 1 -3
30.9	99	2 0 3
31.2	62	3 1 -1
31.6	56	3 1 -2
32.5	100	3 1 0
32.7	65	2 0 -5
45.7	59	0 2 0

=====

(3)
Calculated X-ray diffraction stick pattern
Compound: LaDyThTc
Radiation: a wavelength of 1.5418 Å
Structure: the GGA-PBE geometry in Alexandria
No peak broadening, texture or thermal motion is included.

Structure:
Unit cell a=8.0230 b=4.6300 c=7.0680 alpha=90.00 beta=112.24 gamma=90.00
Space group Cm (No. 8)
Asymmetric unit:
La  0.0000  0.0000  0.0000 x2
Dy  0.2117  0.0000  0.6374 x2
Th  0.4421  0.0000  0.3290 x2
Tc  0.3001  0.5000  0.4025 x2

Most intense lines, 10 to 90 degrees two-theta, in order of rising 2θ:
2theta	I/Imax	index
13.5	39	0 0 1
28.7	72	2 0 -2
31.9	100	2 0 1
38.9	84	0 2 0
41.4	32	0 0 3
51.2	27	2 2 1
58.1	37	3 1 2
66.1	30	5 1 0

=====

(4)
Calculated X-ray diffraction stick pattern
Compound: La4DyTe5
Radiation: a wavelength of 1.5418 Å
Structure: the GGA-PBE geometry in Alexandria
No peak broadening, texture or thermal motion is included.

Structure:
Unit cell a=10.1332 b=10.1332 c=6.4286 alpha=90.00 beta=90.00 gamma=90.00
Space group I4/m (No. 87)
Asymmetric unit:
La  0.0948  0.3047  0.0000 x8
Dy  0.0000  0.0000  0.5000 x2
Te  0.0000  0.0000  0.0000 x2
Te  0.1004  0.2885  0.5000 x8

Most intense lines, 10 to 90 degrees two-theta, in order of rising 2θ:
2theta	I/Imax	index
27.8	100	0 0 2
39.7	76	1 3 2
49.2	27	4 2 2
57.5	8	2 6 0
64.9	12	1 3 4
65.1	23	2 6 2
72.0	9	4 2 4
72.2	16	7 1 2

=====

(5)
Calculated X-ray diffraction stick pattern
Compound: La6DyTe8
Radiation: a wavelength of 1.5418 Å
Structure: the GGA-PBE geometry in Alexandria
No peak broadening, texture or thermal motion is included.

Structure:
Unit cell a=12.8964 b=12.8964 c=12.8964 alpha=90.00 beta=90.00 gamma=90.00
Space group Fm-3m (No. 225)
Asymmetric unit:
La  0.0000  0.2500  0.2500 x24
Dy  0.0000  0.0000  0.0000 x4
Te  0.0000  0.0000  0.2447 x24
Te  0.2500  0.2500  0.2500 x8

Most intense lines, 10 to 90 degrees two-theta, in order of rising 2θ:
2theta	I/Imax	index
11.9	8	1 1 1
27.7	100	4 0 0
39.5	77	4 4 0
48.9	27	4 4 4
57.1	13	8 0 0
64.6	35	8 4 0
71.7	26	8 4 4
85.1	8	8 8 0

=====

(6)
Calculated X-ray diffraction stick pattern
Compound: La3Dy2ThTe6
Radiation: a wavelength of 1.5418 Å
Structure: the GGA-PBE geometry in Alexandria
No peak broadening, texture or thermal motion is included.

Structure:
Unit cell a=19.4807 b=4.4626 c=9.0236 alpha=90.00 beta=102.29 gamma=90.00
Space group C2/m (No. 12)
Asymmetric unit:
La  0.0000  0.0000  0.0000 x2
La  0.1616  0.5000  0.3340 x4
Dy  0.1656  0.5000  0.8321 x4
Th  0.0000  0.0000  0.5000 x2
Te  0.0060  0.5000  0.7512 x4
Te  0.1684  0.0000  0.5969 x4
Te  0.1712  0.0000  0.0752 x4

Most intense lines, 10 to 90 degrees two-theta, in order of rising 2θ:
2theta	I/Imax	index
28.1	100	1 1 -2
39.9	39	5 1 2
40.5	37	0 2 0
50.0	20	6 2 0
58.2	13	2 2 -4
65.5	17	4 2 4
66.2	17	1 3 -2
73.2	8	5 3 2

=====

(7)
Calculated X-ray diffraction stick pattern
Compound: La3DyTm3Te8
Radiation: a wavelength of 1.5418 Å
Structure: the GGA-PBE geometry in Alexandria
No peak broadening, texture or thermal motion is included.

Structure:
Unit cell a=8.7874 b=8.7874 c=21.9507 alpha=90.00 beta=90.00 gamma=120.00
Space group R-3m (No. 166, hexagonal axes)
Asymmetric unit:
La  0.0000  0.5000  0.0000 x9
Dy  0.0000  0.0000  0.5000 x3
Tm  0.0000  0.5000  0.5000 x9
Te  0.0000  0.0000  0.2432 x6
Te  0.0112  0.5056  0.7542 x18

Most intense lines, 10 to 90 degrees two-theta, in order of rising 2θ:
2theta	I/Imax	index
28.5	100	0 2 4
40.5	38	2 0 8
41.1	37	2 2 0
50.8	20	4 0 4
59.1	12	0 4 8
66.5	17	2 2 12
67.3	17	2 4 4
74.5	12	4 2 8

=====

(8)
Calculated X-ray diffraction stick pattern
Compound: LaDyTh14
Radiation: a wavelength of 1.5418 Å
Structure: the GGA-PBE geometry in Alexandria
No peak broadening, texture or thermal motion is included.

Structure:
Unit cell a=11.6234 b=7.1793 c=12.4525 alpha=90.00 beta=90.00 gamma=90.00
Space group Amm2 (No. 38)
Asymmetric unit:
La  0.0000  0.0000  0.0000 x2
Dy  0.0000  0.0000  0.4990 x2
Th  0.0000  0.2474  0.2469 x4
Th  0.2500  0.0000  0.6651 x4
Th  0.2514  0.2491  0.4149 x8
Th  0.2520  0.0000  0.1657 x4
Th  0.5000  0.0000  0.3321 x2
Th  0.5000  0.0000  0.8316 x2
Th  0.5000  0.2502  0.0817 x4

Most intense lines, 10 to 90 degrees two-theta, in order of rising 2θ:
2theta	I/Imax	index
29.7	38	1 0 4
30.8	33	4 0 0
32.6	100	2 2 2
37.1	21	3 0 4
50.8	26	0 4 0
55.9	22	6 2 2
60.6	30	4 4 0
61.7	17	2 0 8